The following is a calculated powder diffractogram of Pu2CdBi3. It was derived from a cell relaxed with GGA-PBE, using Cu Kα.
Neutral-atom scattering factors, no anomalous dispersion.

Cell and atoms:
Cell lengths 6.441, 16.163, 3.398 Å; angles 90.00, 90.00, 90.00 degrees
Fractional coordinates of all 12 atoms:
Pu: 0.202 0.155 0.000
Pu: 0.298 0.655 0.500
Pu: 0.702 0.345 0.500
Pu: 0.798 0.845 0.000
Cd: 0.000 0.500 0.000
Cd: 0.500 0.000 0.500
Bi: 0.000 0.000 0.500
Bi: 0.197 0.332 0.500
Bi: 0.303 0.832 0.000
Bi: 0.500 0.500 0.000
Bi: 0.697 0.168 0.000
Bi: 0.803 0.668 0.500

Principal peaks in the range 5° ≤ 2θ ≤ 70°, by intensity:
31.12 deg, I = 100
33.26 deg, I = 40
38.93 deg, I = 38
29.87 deg, I = 31
35.65 deg, I = 28
55.98 deg, I = 18
28.26 deg, I = 17
40.16 deg, I = 15
58.09 deg, I = 15
48.03 deg, I = 13

=====

The following is a calculated powder diffractogram of RbCd3Bi3. It was derived from a cell relaxed with GGA-PBE, using Cu Kα.
Neutral-atom scattering factors, no anomalous dispersion.

Cell and atoms:
Cell lengths 9.461, 5.045, 11.839 Å; angles 90.00, 110.77, 90.00 degrees
Fractional coordinates of all 14 atoms:
Rb: 0.146 0.250 0.286
Rb: 0.854 0.750 0.714
Cd: 0.107 0.750 0.536
Cd: 0.135 0.250 0.928
Cd: 0.474 0.750 0.270
Cd: 0.526 0.250 0.730
Cd: 0.865 0.750 0.072
Cd: 0.893 0.250 0.464
Bi: 0.192 0.250 0.691
Bi: 0.193 0.750 0.066
Bi: 0.428 0.750 0.550
Bi: 0.572 0.250 0.450
Bi: 0.807 0.250 0.934
Bi: 0.808 0.750 0.309

Principal peaks in the range 5° ≤ 2θ ≤ 70°, by intensity:
28.76 deg, I = 100
37.05 deg, I = 86
35.59 deg, I = 82
38.64 deg, I = 69
30.31 deg, I = 61
31.41 deg, I = 61
28.10 deg, I = 54
40.12 deg, I = 54
23.58 deg, I = 52
14.87 deg, I = 52

=====

The following is a calculated powder diffractogram of Rb5CdBi2. It was derived from a cell relaxed with GGA-PBE, using Cu Kα.
Neutral-atom scattering factors, no anomalous dispersion.

Cell and atoms:
Cell lengths 6.572, 6.572, 22.539 Å; angles 90.00, 90.00, 120.00 degrees
Fractional coordinates of all 16 atoms:
Rb: 0.000 0.000 0.141
Rb: 0.000 0.000 0.359
Rb: 0.000 0.000 0.641
Rb: 0.000 0.000 0.859
Rb: 0.333 0.667 0.049
Rb: 0.333 0.667 0.250
Rb: 0.333 0.667 0.451
Rb: 0.667 0.333 0.549
Rb: 0.667 0.333 0.750
Rb: 0.667 0.333 0.951
Cd: 0.333 0.667 0.750
Cd: 0.667 0.333 0.250
Bi: 0.333 0.667 0.623
Bi: 0.333 0.667 0.877
Bi: 0.667 0.333 0.123
Bi: 0.667 0.333 0.377

Principal peaks in the range 5° ≤ 2θ ≤ 70°, by intensity:
27.14 deg, I = 100
16.06 deg, I = 37
25.20 deg, I = 35
42.24 deg, I = 31
31.93 deg, I = 25
47.95 deg, I = 21
15.57 deg, I = 19
31.50 deg, I = 18
31.73 deg, I = 16
51.06 deg, I = 13

=====

The following is a calculated powder diffractogram of RbCdBi2. It was derived from a cell relaxed with GGA-PBE, using Cu Kα.
Neutral-atom scattering factors, no anomalous dispersion.

Cell and atoms:
Cell lengths 5.502, 5.502, 19.745 Å; angles 90.00, 90.00, 120.00 degrees
Fractional coordinates of all 12 atoms:
Rb: 0.000 0.000 0.000
Rb: 0.333 0.667 0.667
Rb: 0.667 0.333 0.333
Cd: 0.000 0.000 0.500
Cd: 0.333 0.667 0.167
Cd: 0.667 0.333 0.833
Bi: 0.000 0.000 0.194
Bi: 0.000 0.000 0.806
Bi: 0.333 0.667 0.473
Bi: 0.333 0.667 0.860
Bi: 0.667 0.333 0.140
Bi: 0.667 0.333 0.527

Principal peaks in the range 5° ≤ 2θ ≤ 70°, by intensity:
13.45 deg, I = 100
32.55 deg, I = 95
35.37 deg, I = 61
29.38 deg, I = 46
42.85 deg, I = 41
25.99 deg, I = 32
50.00 deg, I = 26
27.10 deg, I = 24
58.08 deg, I = 18
56.13 deg, I = 16

=====

The following is a calculated powder diffractogram of Rb3CdBi. It was derived from a cell relaxed with GGA-PBE, using Cu Kα.
Neutral-atom scattering factors, no anomalous dispersion.

Cell and atoms:
Cell lengths 9.351, 9.351, 9.351 Å; angles 102.45, 109.82, 116.44 degrees
Fractional coordinates of all 10 atoms:
Rb: 0.195 0.057 0.252
Rb: 0.195 0.443 0.638
Rb: 0.559 0.910 0.149
Rb: 0.761 0.410 0.851
Rb: 0.805 0.557 0.362
Rb: 0.805 0.943 0.748
Cd: 0.260 0.050 0.710
Cd: 0.339 0.550 0.290
Bi: 0.108 0.780 0.827
Bi: 0.953 0.280 0.173

Principal peaks in the range 5° ≤ 2θ ≤ 70°, by intensity:
12.19 deg, I = 100
22.45 deg, I = 90
15.13 deg, I = 71
31.81 deg, I = 64
28.42 deg, I = 59
30.56 deg, I = 53
29.70 deg, I = 49
30.38 deg, I = 46
32.35 deg, I = 44
24.25 deg, I = 44

=====

The following is a calculated powder diffractogram of Rb2Cd3Bi5. It was derived from a cell relaxed with GGA-PBE, using Cu Kα.
Neutral-atom scattering factors, no anomalous dispersion.

Cell and atoms:
Cell lengths 10.653, 10.653, 10.653 Å; angles 108.69, 85.68, 139.02 degrees
Fractional coordinates of all 20 atoms:
Rb: 0.130 0.239 0.369
Rb: 0.370 0.739 0.109
Rb: 0.630 0.261 0.891
Rb: 0.870 0.761 0.631
Cd: 0.116 0.637 0.752
Cd: 0.250 0.250 0.000
Cd: 0.384 0.137 0.521
Cd: 0.616 0.863 0.479
Cd: 0.750 0.750 0.000
Cd: 0.884 0.363 0.248
Bi: 0.018 0.750 0.268
Bi: 0.121 0.876 0.997
Bi: 0.250 0.750 0.500
Bi: 0.379 0.376 0.755
Bi: 0.482 0.750 0.732
Bi: 0.518 0.250 0.268
Bi: 0.621 0.624 0.245
Bi: 0.750 0.250 0.500
Bi: 0.879 0.124 0.003
Bi: 0.982 0.250 0.732

Principal peaks in the range 5° ≤ 2θ ≤ 70°, by intensity:
33.22 deg, I = 100
27.91 deg, I = 61
26.97 deg, I = 60
27.15 deg, I = 52
37.70 deg, I = 46
14.26 deg, I = 46
36.99 deg, I = 44
17.93 deg, I = 33
39.96 deg, I = 23
69.91 deg, I = 22

=====

The following is a calculated powder diffractogram of Rb4Cd5Bi6. It was derived from a cell relaxed with GGA-PBE, using Cu Kα.
Neutral-atom scattering factors, no anomalous dispersion.

Cell and atoms:
Cell lengths 11.657, 11.657, 20.635 Å; angles 90.00, 90.00, 155.25 degrees
Fractional coordinates of all 30 atoms:
Rb: 0.001 0.999 0.500
Rb: 0.001 0.999 0.749
Rb: 0.182 0.818 0.048
Rb: 0.184 0.816 0.688
Rb: 0.816 0.184 0.188
Rb: 0.818 0.182 0.548
Rb: 0.999 0.001 0.000
Rb: 0.999 0.001 0.249
Cd: 0.131 0.869 0.375
Cd: 0.271 0.729 0.378
Cd: 0.371 0.629 0.748
Cd: 0.373 0.627 0.999
Cd: 0.421 0.579 0.382
Cd: 0.579 0.421 0.882
Cd: 0.627 0.373 0.499
Cd: 0.629 0.371 0.248
Cd: 0.729 0.271 0.878
Cd: 0.869 0.131 0.875
Bi: 0.147 0.853 0.864
Bi: 0.201 0.799 0.501
Bi: 0.203 0.797 0.251
Bi: 0.434 0.566 0.620
Bi: 0.437 0.563 0.126
Bi: 0.447 0.553 0.874
Bi: 0.553 0.447 0.374
Bi: 0.563 0.437 0.626
Bi: 0.566 0.434 0.120
Bi: 0.797 0.203 0.751
Bi: 0.799 0.201 0.001
Bi: 0.853 0.147 0.364

Principal peaks in the range 5° ≤ 2θ ≤ 70°, by intensity:
37.31 deg, I = 100
35.95 deg, I = 64
26.48 deg, I = 56
25.12 deg, I = 51
34.78 deg, I = 44
50.89 deg, I = 39
21.29 deg, I = 39
31.76 deg, I = 36
18.89 deg, I = 34
21.72 deg, I = 31

=====

The following is a calculated powder diffractogram of RbSrCd2Bi2. It was derived from a cell relaxed with GGA-PBE, using Cu Kα.
Neutral-atom scattering factors, no anomalous dispersion.

Cell and atoms:
Cell lengths 5.249, 5.249, 9.332 Å; angles 90.00, 90.00, 120.00 degrees
Fractional coordinates of all 6 atoms:
Rb: 0.000 0.000 0.000
Sr: 0.000 0.000 0.500
Cd: 0.333 0.667 0.329
Cd: 0.667 0.333 0.671
Bi: 0.333 0.667 0.722
Bi: 0.667 0.333 0.278

Principal peaks in the range 5° ≤ 2θ ≤ 70°, by intensity:
34.16 deg, I = 100
27.39 deg, I = 100
34.95 deg, I = 38
21.75 deg, I = 35
9.48 deg, I = 33
44.33 deg, I = 27
45.20 deg, I = 26
57.13 deg, I = 26
39.39 deg, I = 23
19.02 deg, I = 23

=====

The following is a calculated powder diffractogram of Rb2Cd2BiTe4. It was derived from a cell relaxed with GGA-PBE, using Cu Kα.
Neutral-atom scattering factors, no anomalous dispersion.

Cell and atoms:
Cell lengths 9.716, 9.716, 8.528 Å; angles 109.29, 109.29, 27.37 degrees
Fractional coordinates of all 9 atoms:
Rb: 0.128 0.128 0.043
Rb: 0.872 0.872 0.957
Cd: 0.328 0.328 0.528
Cd: 0.672 0.672 0.472
Bi: 0.000 0.000 0.500
Te: 0.212 0.212 0.692
Te: 0.481 0.481 0.739
Te: 0.519 0.519 0.261
Te: 0.788 0.788 0.308

Principal peaks in the range 5° ≤ 2θ ≤ 70°, by intensity:
11.03 deg, I = 100
28.67 deg, I = 82
29.04 deg, I = 58
29.55 deg, I = 55
36.69 deg, I = 45
39.19 deg, I = 44
26.04 deg, I = 40
24.72 deg, I = 31
40.13 deg, I = 30
30.75 deg, I = 30

=====

The following is a calculated powder diffractogram of Rb2ZnCd3Bi4. It was derived from a cell relaxed with GGA-PBE, using Cu Kα.
Neutral-atom scattering factors, no anomalous dispersion.

Cell and atoms:
Cell lengths 5.265, 5.265, 12.110 Å; angles 90.00, 90.00, 90.00 degrees
Fractional coordinates of all 10 atoms:
Rb: 0.000 0.500 0.244
Rb: 0.500 0.000 0.756
Zn: 0.500 0.500 0.000
Cd: 0.000 0.000 0.000
Cd: 0.000 0.500 0.635
Cd: 0.500 0.000 0.365
Bi: 0.000 0.000 0.500
Bi: 0.000 0.500 0.879
Bi: 0.500 0.000 0.121
Bi: 0.500 0.500 0.500

Principal peaks in the range 5° ≤ 2θ ≤ 70°, by intensity:
34.06 deg, I = 100
28.14 deg, I = 99
38.32 deg, I = 82
27.85 deg, I = 64
48.93 deg, I = 37
63.80 deg, I = 37
18.37 deg, I = 36
44.55 deg, I = 36
14.63 deg, I = 32
25.02 deg, I = 30

=====

The following is a calculated powder diffractogram of CdBi2Rh2. It was derived from a cell relaxed with GGA-PBE, using Cu Kα.
Neutral-atom scattering factors, no anomalous dispersion.

Cell and atoms:
Cell lengths 4.668, 4.730, 9.907 Å; angles 90.00, 90.00, 90.00 degrees
Fractional coordinates of all 10 atoms:
Cd: 0.250 0.250 0.171
Cd: 0.750 0.750 0.829
Bi: 0.250 0.250 0.490
Bi: 0.250 0.250 0.835
Bi: 0.750 0.750 0.165
Bi: 0.750 0.750 0.510
Rh: 0.250 0.750 0.005
Rh: 0.250 0.750 0.334
Rh: 0.750 0.250 0.666
Rh: 0.750 0.250 0.995

Principal peaks in the range 5° ≤ 2θ ≤ 70°, by intensity:
38.44 deg, I = 100
38.05 deg, I = 26
69.73 deg, I = 26
38.58 deg, I = 25
26.83 deg, I = 23
69.01 deg, I = 18
55.30 deg, I = 18
27.00 deg, I = 11
20.81 deg, I = 11
26.23 deg, I = 10

=====

The following is a calculated powder diffractogram of TlCdBiS3. It was derived from a cell relaxed with GGA-PBE, using Cu Kα.
Neutral-atom scattering factors, no anomalous dispersion.

Cell and atoms:
Cell lengths 8.918, 4.187, 9.632 Å; angles 90.00, 101.19, 90.00 degrees
Fractional coordinates of all 12 atoms:
Tl: 0.187 0.250 0.218
Tl: 0.813 0.750 0.782
Cd: 0.094 0.250 0.607
Cd: 0.906 0.750 0.393
Bi: 0.343 0.750 0.865
Bi: 0.657 0.250 0.135
S: 0.134 0.250 0.877
S: 0.204 0.750 0.510
S: 0.429 0.750 0.142
S: 0.571 0.250 0.858
S: 0.796 0.250 0.490
S: 0.866 0.750 0.123

Principal peaks in the range 5° ≤ 2θ ≤ 70°, by intensity:
29.53 deg, I = 100
29.78 deg, I = 59
24.91 deg, I = 54
28.49 deg, I = 50
23.24 deg, I = 40
12.38 deg, I = 35
32.01 deg, I = 31
43.22 deg, I = 30
9.36 deg, I = 27
35.55 deg, I = 25

=====

The following is a calculated powder diffractogram of Cd2BiSb. It was derived from a cell relaxed with GGA-PBE, using Cu Kα.
Neutral-atom scattering factors, no anomalous dispersion.

Cell and atoms:
Cell lengths 4.959, 12.482, 8.582 Å; angles 90.00, 90.00, 90.00 degrees
Fractional coordinates of all 16 atoms:
Cd: 0.250 0.081 0.000
Cd: 0.250 0.419 0.500
Cd: 0.250 0.644 0.944
Cd: 0.250 0.856 0.444
Cd: 0.750 0.144 0.444
Cd: 0.750 0.356 0.944
Cd: 0.750 0.581 0.500
Cd: 0.750 0.919 0.000
Bi: 0.250 0.085 0.649
Bi: 0.250 0.415 0.149
Bi: 0.750 0.585 0.149
Bi: 0.750 0.915 0.649
Sb: 0.250 0.660 0.620
Sb: 0.250 0.840 0.120
Sb: 0.750 0.160 0.120
Sb: 0.750 0.340 0.620

Principal peaks in the range 5° ≤ 2θ ≤ 70°, by intensity:
25.18 deg, I = 100
39.11 deg, I = 99
20.70 deg, I = 47
36.23 deg, I = 44
27.99 deg, I = 37
40.45 deg, I = 31
28.61 deg, I = 31
35.07 deg, I = 29
42.10 deg, I = 22
67.10 deg, I = 21